# 1
# V16CrO41
Simulated X-ray powder pattern, copper Kα. Input: a crystal structure in the Materials Project, relaxed with GGA+U.

Structure:
abc: 11.6498 14.6785 4.6087
angles: 90.00 90.00 90.00
Space group Pmm2 (No. 25)
Inequivalent atoms, fractional coordinates:
V1 0.1490 0.0000 0.0000 [2 per cell]
V2 0.1494 0.2482 0.9973 [4 per cell]
V3 0.1490 0.5000 0.0060 [2 per cell]
V4 0.3405 0.3676 0.7632 [4 per cell]
V5 0.3504 0.1230 0.7787 [4 per cell]
Cr1 0.5000 0.5000 0.0238 [1 per cell]
O1 0.0000 0.0000 0.8918 [1 per cell]
O2 0.0000 0.2489 0.8896 [2 per cell]
O3 0.0000 0.5000 0.9102 [1 per cell]
O4 0.1447 0.2486 0.3468 [4 per cell]
O5 0.1456 0.0000 0.3498 [2 per cell]
O6 0.1486 0.5000 0.3574 [2 per cell]
O7 0.1807 0.1239 0.8968 [4 per cell]
O8 0.1819 0.3738 0.8919 [4 per cell]
O9 0.3175 0.0000 0.8830 [2 per cell]
O10 0.3192 0.2458 0.8842 [4 per cell]
O11 0.3411 0.5000 0.8871 [2 per cell]
O12 0.3443 0.3643 0.4129 [4 per cell]
O13 0.3538 0.1236 0.4288 [4 per cell]
O14 0.5000 0.1236 0.8851 [2 per cell]
O15 0.5000 0.3785 0.8794 [2 per cell]
O16 0.5000 0.5000 0.3688 [1 per cell]

Top 12 peaks for 15 to 90 degrees two-theta, most intense first:
two_theta, d [Å], I_rel
19.26, 4.609, 100.0
25.45, 3.500, 56.1
30.09, 2.970, 39.3
31.16, 2.871, 37.7
33.60, 2.667, 37.3
15.21, 5.825, 28.7
20.73, 4.286, 27.0
30.70, 2.912, 25.4
49.69, 1.835, 24.7
46.79, 1.942, 22.8
45.79, 1.982, 15.5
46.54, 1.951, 15.3

***

# 2
# CrWO6
Simulated X-ray powder pattern, copper Kα. Input: a crystal structure in the Materials Project, relaxed with GGA+U.

Structure:
abc: 9.2508 5.3564 5.4089
angles: 90.00 125.03 90.00
Space group Cm (No. 8)
Inequivalent atoms, fractional coordinates:
Cr1 0.0000 0.0000 0.0000 [2 per cell]
W1 0.0003 0.5000 0.4960 [2 per cell]
O1 0.2195 0.0000 0.1734 [2 per cell]
O2 0.2362 0.5000 0.6783 [2 per cell]
O3 0.4765 0.2560 0.1686 [4 per cell]
O4 0.4812 0.2584 0.6862 [4 per cell]

Top 12 peaks for 15 to 90 degrees two-theta, most intense first:
two_theta, d [Å], I_rel
23.37, 3.806, 100.0
23.49, 3.788, 49.6
20.30, 4.374, 40.4
33.19, 2.700, 36.2
33.51, 2.674, 33.2
47.80, 1.903, 19.4
54.11, 1.695, 18.8
53.67, 1.708, 18.1
20.05, 4.429, 14.1
39.31, 2.292, 11.7
39.45, 2.284, 11.5
41.28, 2.187, 9.9

***

# 3
# Cr2W3O12
Simulated X-ray powder pattern, copper Kα. Input: a crystal structure in the Materials Project, relaxed with GGA+U.

Structure:
abc: 9.1404 9.1404 24.3704
angles: 90.00 90.00 120.00
Space group R-3 (No. 148, hexagonal axes)
Inequivalent atoms, fractional coordinates:
Cr1 0.0000 0.0000 0.1405 [6 per cell]
Cr2 0.0000 0.0000 0.3532 [6 per cell]
W1 0.0009 0.7175 0.7488 [18 per cell]
O1 0.0084 0.1822 0.1885 [18 per cell]
O2 0.0238 0.8386 0.0918 [18 per cell]
O3 0.0823 0.8734 0.3990 [18 per cell]
O4 0.0820 0.8765 0.6949 [18 per cell]

Top 12 peaks for 15 to 90 degrees two-theta, most intense first:
two_theta, d [Å], I_rel
22.32, 3.983, 100.0
29.42, 3.036, 22.5
38.65, 2.330, 21.2
21.88, 4.062, 20.7
30.09, 2.970, 16.4
33.98, 2.639, 14.3
26.86, 3.319, 11.5
40.78, 2.213, 10.0
57.23, 1.610, 9.6
35.20, 2.550, 7.9
60.47, 1.531, 7.1
46.49, 1.953, 6.7

***

# 4
# CrW2O8
Simulated X-ray powder pattern, copper Kα. Input: a crystal structure in the Materials Project, relaxed with GGA+U.

Structure:
abc: 5.0522 5.1514 6.9359
angles: 108.18 92.06 105.00
Space group P-1 (No. 2)
Inequivalent atoms, fractional coordinates:
Cr1 0.0000 0.0000 0.0000 [1 per cell]
W1 0.2596 0.4790 0.8228 [2 per cell]
O1 0.0877 0.7732 0.1492 [2 per cell]
O2 0.1238 0.7557 0.7723 [2 per cell]
O3 0.3225 0.2903 0.5841 [2 per cell]
O4 0.3674 0.2883 0.0334 [2 per cell]

Top 12 peaks for 15 to 90 degrees two-theta, most intense first:
two_theta, d [Å], I_rel
18.91, 4.692, 100.0
24.23, 3.673, 91.7
21.41, 4.150, 62.5
28.24, 3.160, 59.9
29.19, 3.060, 55.7
46.86, 1.939, 38.6
38.62, 2.331, 37.0
40.03, 2.252, 34.9
24.01, 3.706, 34.4
36.63, 2.453, 31.0
36.15, 2.485, 29.4
38.41, 2.344, 27.0

***

# 5
# Cr3WO8
Simulated X-ray powder pattern, copper Kα. Input: a crystal structure in the Materials Project, relaxed with GGA+U.

Structure:
abc: 5.9901 5.9901 9.1875
angles: 90.00 90.00 120.00
Space group P6_3mc (No. 186)
Inequivalent atoms, fractional coordinates:
Cr1 0.1704 0.3408 0.0000 [6 per cell]
W1 0.3333 0.6667 0.2796 [2 per cell]
O1 0.0000 0.0000 0.0815 [2 per cell]
O2 0.0482 0.5241 0.1288 [6 per cell]
O3 0.1746 0.3492 0.3823 [6 per cell]
O4 0.3333 0.6667 0.8946 [2 per cell]

Top 12 peaks for 15 to 90 degrees two-theta, most intense first:
two_theta, d [Å], I_rel
19.65, 4.517, 100.0
35.79, 2.509, 38.9
61.92, 1.499, 30.9
33.99, 2.637, 30.1
25.91, 3.439, 26.9
35.98, 2.496, 23.3
55.66, 1.651, 18.0
45.85, 1.979, 15.1
47.41, 1.918, 14.6
17.09, 5.188, 12.2
29.83, 2.995, 11.0
56.90, 1.618, 10.4